Structure and simulated powder diffraction line list of Cs2K3Hg2Au4 (DFT lattice parameters and positions (PBE); Cu Kα X-rays).

Atomic structure:
```
Cs2K3Hg2Au4
1.0
-2.8062 2.8062 14.1614
2.8062 -2.8062 14.1614
2.8062 2.8062 -14.1614
Cs K Hg Au
2 3 2 4
Direct
0.1779 0.1779 0.0000 Cs
0.8221 0.8221 0.0000 Cs
0.3616 0.3616 0.0000 K
0.5000 0.5000 0.0000 K
0.6384 0.6384 0.0000 K
0.0537 0.0537 0.0000 Hg
0.9463 0.9463 0.0000 Hg
0.0817 0.5817 0.5000 Au
0.4183 0.9183 0.5000 Au
0.5817 0.0817 0.5000 Au
0.9183 0.4183 0.5000 Au
```

Principal peaks in the range 2θ from 10° to 80°, in order of rising 2θ:
Position (°2θ)  I (rel.)
16.1  63
18.8  29
25.2  32
29.4  87
31.9  100
32.6  59
41.0  36
45.7  37
46.2  35
55.3  29

***

Structure and simulated powder diffraction line list of CsKHg4Au2 (DFT lattice parameters and positions (PBE); Cu Kα X-rays).

Atomic structure:
```
CsKHg4Au2
1.0
4.6335 0.0000 0.0000
0.0000 4.6335 0.0000
0.0000 0.0000 12.6543
Cs K Hg Au
1 1 4 2
Direct
0.0000 0.0000 0.0000 Cs
0.0000 0.0000 0.5000 K
0.0000 0.5000 0.2441 Hg
0.0000 0.5000 0.7559 Hg
0.5000 0.0000 0.2441 Hg
0.5000 0.0000 0.7559 Hg
0.5000 0.5000 0.3917 Au
0.5000 0.5000 0.6083 Au
```

Principal peaks in the range 2θ from 10° to 80°, in order of rising 2θ:
Position (°2θ)  I (rel.)
14.0  40
20.4  38
28.2  17
30.7  100
34.3  19
38.9  45
39.6  47
56.1  16
65.4  24
70.9  17

***

Structure and simulated powder diffraction line list of CsK2HgAu2 (DFT lattice parameters and positions (PBE); Cu Kα X-rays).

Atomic structure:
```
CsK2HgAu2
1.0
4.8251 0.0000 0.0000
0.0000 10.7439 0.0000
0.0000 0.0000 8.9932
Cs K Hg Au
2 4 2 4
Direct
0.0000 0.0643 0.0000 Cs
0.0000 0.9357 0.5000 Cs
0.0000 0.3077 0.4470 K
0.0000 0.6923 0.9470 K
0.5000 0.4206 0.0953 K
0.5000 0.5794 0.5953 K
0.5000 0.2482 0.7391 Hg
0.5000 0.7518 0.2391 Hg
0.0000 0.4011 0.8048 Au
0.0000 0.5989 0.3048 Au
0.5000 0.1427 0.2894 Au
0.5000 0.8573 0.7894 Au
```

Principal peaks in the range 2θ from 10° to 80°, in order of rising 2θ:
Position (°2θ)  I (rel.)
19.2  71
19.7  46
24.8  44
26.8  32
27.1  45
28.4  89
32.7  100
34.3  41
37.3  42
51.5  32

***

Structure and simulated powder diffraction line list of CsK4HgAu (DFT lattice parameters and positions (PBE); Cu Kα X-rays).

Atomic structure:
```
CsK4HgAu
1.0
8.1073 -4.0054 0.0000
8.1073 4.0054 0.0000
-0.4720 0.0000 11.7739
Cs K Hg Au
2 8 2 2
Direct
0.0687 0.0687 0.1878 Cs
0.9313 0.9313 0.8122 Cs
0.0948 0.5879 0.3248 K
0.3041 0.3041 0.9691 K
0.3838 0.3838 0.6162 K
0.4121 0.9052 0.6752 K
0.5879 0.0948 0.3248 K
0.6162 0.6162 0.3838 K
0.6959 0.6959 0.0309 K
0.9052 0.4121 0.6752 K
0.4879 0.4879 0.1298 Hg
0.5121 0.5121 0.8702 Hg
0.2019 0.2019 0.4509 Au
0.7981 0.7981 0.5491 Au
```

Principal peaks in the range 2θ from 10° to 80°, in order of rising 2θ:
Position (°2θ)  I (rel.)
13.0  100
13.5  37
14.6  60
19.8  36
22.2  62
25.4  40
25.8  71
31.0  91
31.9  57
33.1  44

***

Structure and simulated powder diffraction line list of Cs8Hg2AuO (DFT lattice parameters and positions (PBE); Cu Kα X-rays).

Atomic structure:
```
Cs8Hg2AuO
1.0
8.6604 0.0000 0.0000
-0.5133 8.9390 0.0000
-0.0676 -0.0654 9.8827
Cs Hg Au O
8 2 1 1
Direct
0.1781 0.2376 0.4989 Cs
0.2081 0.6413 0.7135 Cs
0.2088 0.6431 0.2898 Cs
0.2715 0.1649 0.9995 Cs
0.7285 0.8351 0.0005 Cs
0.7912 0.3569 0.7102 Cs
0.7919 0.3587 0.2865 Cs
0.8219 0.7624 0.5011 Cs
0.4983 0.9982 0.6540 Hg
0.5017 0.0018 0.3460 Hg
0.0000 0.5000 0.0000 Au
0.0000 0.5000 0.5000 O
```

Principal peaks in the range 2θ from 10° to 80°, in order of rising 2θ:
Position (°2θ)  I (rel.)
13.8  78
14.7  100
22.7  80
22.9  70
23.4  49
23.7  43
24.1  70
27.9  56
29.5  58
30.5  51

***

Structure and simulated powder diffraction line list of Cs4RbHgAu (DFT lattice parameters and positions (PBE); Cu Kα X-rays).

Atomic structure:
```
Cs4RbHgAu
1.0
9.0780 0.0000 0.0000
0.0000 8.8447 0.0000
-2.8809 0.0000 12.0081
Cs Rb Hg Au
8 2 2 2
Direct
0.1298 0.2500 0.1197 Cs
0.3205 0.0026 0.8312 Cs
0.3205 0.4974 0.8312 Cs
0.3512 0.7500 0.4063 Cs
0.6488 0.2500 0.5937 Cs
0.6795 0.5026 0.1688 Cs
0.6795 0.9974 0.1688 Cs
0.8702 0.7500 0.8803 Cs
0.0875 0.2500 0.5120 Rb
0.9125 0.7500 0.4880 Rb
0.2693 0.7500 0.0897 Hg
0.7307 0.2500 0.9103 Hg
0.0070 0.7500 0.1910 Au
0.9930 0.2500 0.8090 Au
```

Principal peaks in the range 2θ from 10° to 80°, in order of rising 2θ:
Position (°2θ)  I (rel.)
12.4  73
20.1  42
22.2  55
22.5  66
22.9  100
24.3  28
28.3  73
31.2  37
33.3  27
33.5  79

***

Structure and simulated powder diffraction line list of Cs4Rb2HgAu2 (DFT lattice parameters and positions (PBE); Cu Kα X-rays).

Atomic structure:
```
Cs4Rb2HgAu2
1.0
6.7486 0.0000 0.0000
-2.0100 8.7079 0.0000
-0.6146 -4.5264 9.5600
Cs Rb Hg Au
4 2 1 2
Direct
0.0420 0.0230 0.2200 Cs
0.2799 0.5195 0.8527 Cs
0.7201 0.4805 0.1473 Cs
0.9580 0.9770 0.7800 Cs
0.3565 0.7443 0.4850 Rb
0.6435 0.2557 0.5150 Rb
0.5000 0.0000 0.0000 Hg
0.4884 0.8499 0.2068 Au
0.5116 0.1501 0.7932 Au
```

Principal peaks in the range 2θ from 10° to 80°, in order of rising 2θ:
Position (°2θ)  I (rel.)
11.2  92
13.7  84
21.9  55
24.9  77
26.7  96
27.5  81
28.0  100
31.5  68
34.2  70
34.6  48

***

Structure and simulated powder diffraction line list of Cs2Rb4HgAu (DFT lattice parameters and positions (PBE); Cu Kα X-rays).

Atomic structure:
```
Cs2Rb4HgAu
1.0
7.6891 0.0000 0.0000
3.8431 8.5441 0.0000
3.8144 -0.0846 8.6186
Cs Rb Hg Au
2 4 1 1
Direct
0.0000 0.0000 0.0000 Cs
0.2487 0.5021 0.4979 Cs
0.0951 0.1197 0.4077 Rb
0.4985 0.4091 0.8780 Rb
0.6205 0.8840 0.5931 Rb
0.7861 0.5918 0.1213 Rb
0.4984 0.0012 0.0015 Hg
0.7459 0.5017 0.5002 Au
```

Principal peaks in the range 2θ from 10° to 80°, in order of rising 2θ:
Position (°2θ)  I (rel.)
13.6  33
14.5  34
14.7  34
20.6  44
20.8  44
25.4  100
32.8  32
33.0  54
33.1  46
49.7  19

***

Structure and simulated powder diffraction line list of CsHg2SbAu2 (DFT lattice parameters and positions (PBE); Cu Kα X-rays).

Atomic structure:
```
CsHg2SbAu2
1.0
7.6586 0.0000 0.0000
0.0000 5.1567 0.0000
0.0000 0.0000 10.1152
Cs Hg Sb Au
2 4 2 4
Direct
0.2500 0.0000 0.1614 Cs
0.7500 0.0000 0.8386 Cs
0.0000 0.0000 0.5000 Hg
0.2500 0.5000 0.4569 Hg
0.5000 0.0000 0.5000 Hg
0.7500 0.5000 0.5431 Hg
0.2500 0.5000 0.8155 Sb
0.7500 0.5000 0.1845 Sb
0.0000 0.5000 0.0000 Au
0.2500 0.0000 0.7325 Au
0.5000 0.5000 0.0000 Au
0.7500 0.0000 0.2675 Au
```

Principal peaks in the range 2θ from 10° to 80°, in order of rising 2θ:
Position (°2θ)  I (rel.)
24.7  27
27.3  47
28.9  24
29.3  50
30.4  100
34.1  25
34.8  55
35.5  26
39.7  49
46.1  29

***

Structure and simulated powder diffraction line list of CsSnHgAu3 (DFT lattice parameters and positions (PBE); Cu Kα X-rays).

Atomic structure:
```
CsSnHgAu3
1.0
3.7262 -6.7454 0.0000
3.7262 6.7454 0.0000
-0.0052 0.0000 7.8014
Cs Sn Hg Au
2 2 2 6
Direct
0.2490 0.7510 0.7500 Cs
0.7510 0.2490 0.2500 Cs
0.0551 0.9449 0.2500 Sn
0.9449 0.0551 0.7500 Sn
0.4568 0.5432 0.2500 Hg
0.5432 0.4568 0.7500 Hg
0.2402 0.2412 0.4999 Au
0.2412 0.2402 0.9999 Au
0.2521 0.7479 0.2500 Au
0.7479 0.2521 0.7500 Au
0.7588 0.7598 0.0001 Au
0.7598 0.7588 0.5001 Au
```

Principal peaks in the range 2θ from 10° to 80°, in order of rising 2θ:
Position (°2θ)  I (rel.)
13.1  44
17.7  21
26.4  93
27.3  32
33.3  100
37.3  24
43.0  64
46.6  43
47.2  22
56.4  22

***

Structure and simulated powder diffraction line list of CsSnHg2Au (DFT lattice parameters and positions (PBE); Cu Kα X-rays).

Atomic structure:
```
CsSnHg2Au
1.0
5.9014 0.0000 0.0000
0.0000 5.9014 0.0000
0.0000 0.0000 5.4345
Cs Sn Hg Au
1 1 2 1
Direct
0.0000 0.0000 0.0000 Cs
0.5000 0.5000 0.5000 Sn
0.0000 0.5000 0.5000 Hg
0.5000 0.0000 0.5000 Hg
0.5000 0.5000 0.0000 Au
```

Principal peaks in the range 2θ from 10° to 80°, in order of rising 2θ:
Position (°2θ)  I (rel.)
15.0  18
26.9  100
30.3  73
33.0  29
43.4  28
45.4  49
51.8  34
55.3  14
55.5  27
71.5  13

***

Structure and simulated powder diffraction line list of Cs5AuI4 (DFT lattice parameters and positions (PBE); Cu Kα X-rays).

Atomic structure:
```
Cs5AuI4
1.0
-2.7526 2.7526 19.4183
2.7526 -2.7526 19.4183
2.7526 2.7526 -19.4183
Cs Au I
5 1 4
Direct
0.0000 0.0000 0.0000 Cs
0.1998 0.1998 0.0000 Cs
0.4029 0.4029 0.0000 Cs
0.5971 0.5971 0.0000 Cs
0.8002 0.8002 0.0000 Cs
0.5000 0.5000 0.0000 Au
0.0991 0.0991 0.0000 I
0.3011 0.3011 0.0000 I
0.6989 0.6989 0.0000 I
0.9009 0.9009 0.0000 I
```

Principal peaks in the range 2θ from 10° to 80°, in order of rising 2θ:
Position (°2θ)  I (rel.)
22.8  83
22.9  41
32.6  100
40.2  37
46.7  12
52.6  34
52.7  16
58.1  37
68.2  12
73.0  13

***

Structure and simulated powder diffraction line list of Cs12Au4I (DFT lattice parameters and positions (PBE); Cu Kα X-rays).

Atomic structure:
```
Cs12Au4I
1.0
-6.8292 6.8944 6.9400
6.8292 -6.8944 6.9400
6.8292 6.8944 -6.9400
Cs Au I
12 4 1
Direct
0.0196 0.2053 0.8144 Cs
0.1860 0.3068 0.4928 Cs
0.1860 0.6932 0.8792 Cs
0.3236 0.0170 0.6934 Cs
0.3236 0.6302 0.3066 Cs
0.3909 0.2053 0.1856 Cs
0.6091 0.7947 0.8144 Cs
0.6764 0.3698 0.6934 Cs
0.6764 0.9830 0.3066 Cs
0.8140 0.3068 0.1208 Cs
0.8140 0.6932 0.5072 Cs
0.9804 0.7947 0.1856 Cs
0.0000 0.0000 0.5000 Au
0.0000 0.5000 0.0000 Au
0.5000 0.0000 0.0000 Au
0.5000 0.5000 0.5000 Au
0.0000 0.0000 0.0000 I
```

Principal peaks in the range 2θ from 10° to 80°, in order of rising 2θ:
Position (°2θ)  I (rel.)
12.8  100
13.0  55
20.3  42
20.5  56
24.1  70
28.8  46
29.0  42
29.2  42
31.7  41
31.8  44